No. 1
Structure and computed X-ray powder pattern of Hf3Zr (a structure optimized by DFT (PBE); λ = 1.5418 Å (Cu Kα)).

Largest 12 diffraction maxima, most intense first, 2θ from 10° to 90°:
- 2θ = 35.8°, rel. 100.0
- 2θ = 64.4°, rel. 36.5
- 2θ = 51.6°, rel. 17.8
- 2θ = 86.9°, rel. 16.5
- 2θ = 75.9°, rel. 11.3
- 2θ = 21.7°, rel. 4.0
- 2θ = 42.3°, rel. 2.3
- 2θ = 25.1°, rel. 2.1
- 2θ = 56.6°, rel. 1.0
- 2θ = 58.2°, rel. 0.9
- 2θ = 80.1°, rel. 0.8
- 2θ = 68.8°, rel. 0.8

Atomic structure:
abc: 7.0903 7.0903 7.0903
angles: 90.00 90.00 90.00
Positions (direct):
Hf1 0.0000 0.0000 0.0000
Hf2 0.0000 0.5000 0.5000
Hf3 0.2500 0.2500 0.2500
Hf4 0.2500 0.2500 0.7500
Hf5 0.2500 0.7500 0.2500
Hf6 0.2500 0.7500 0.7500
Hf7 0.5000 0.0000 0.5000
Hf8 0.5000 0.5000 0.0000
Hf9 0.7500 0.2500 0.2500
Hf10 0.7500 0.2500 0.7500
Hf11 0.7500 0.7500 0.2500
Hf12 0.7500 0.7500 0.7500
Zr1 0.0000 0.0000 0.5000
Zr2 0.0000 0.5000 0.0000
Zr3 0.5000 0.0000 0.0000
Zr4 0.5000 0.5000 0.5000

---

No. 2
Structure and computed X-ray powder pattern of Hf2Zr (a structure optimized by DFT (PBE); λ = 1.5418 Å (Cu Kα)).

Largest 12 diffraction maxima, most intense first, 2θ from 10° to 90°:
- 2θ = 34.6°, rel. 100.0
- 2θ = 40.2°, rel. 33.1
- 2θ = 69.4°, rel. 26.4
- 2θ = 58.0°, rel. 22.5
- 2θ = 40.0°, rel. 16.6
- 2θ = 69.1°, rel. 13.0
- 2θ = 72.9°, rel. 11.4
- 2θ = 58.1°, rel. 11.3
- 2θ = 13.1°, rel. 10.6
- 2θ = 28.9°, rel. 4.6
- 2θ = 86.8°, rel. 3.7
- 2θ = 44.0°, rel. 3.3

Atomic structure:
abc: 3.1734 3.1734 13.5349
angles: 90.00 90.00 90.00
Positions (direct):
Hf1 0.0000 0.0000 0.1698
Hf2 0.0000 0.0000 0.8302
Hf3 0.5000 0.5000 0.3302
Hf4 0.5000 0.5000 0.6698
Zr1 0.0000 0.0000 0.5000
Zr2 0.5000 0.5000 0.0000

---

No. 3
Structure and computed X-ray powder pattern of HfZr3 (a structure optimized by DFT (PBE); λ = 1.5418 Å (Cu Kα)).

Largest 12 diffraction maxima, most intense first, 2θ from 10° to 90°:
- 2θ = 35.6°, rel. 100.0
- 2θ = 64.0°, rel. 35.5
- 2θ = 51.2°, rel. 17.5
- 2θ = 86.3°, rel. 15.6
- 2θ = 75.4°, rel. 10.9
- 2θ = 21.6°, rel. 7.3
- 2θ = 42.0°, rel. 4.3
- 2θ = 25.0°, rel. 3.9
- 2θ = 56.2°, rel. 1.9
- 2θ = 57.8°, rel. 1.8
- 2θ = 79.5°, rel. 1.5
- 2θ = 68.4°, rel. 1.5

Atomic structure:
abc: 7.1303 7.1303 7.1303
angles: 90.00 90.00 90.00
Positions (direct):
Hf1 0.0000 0.0000 0.0000
Hf2 0.0000 0.5000 0.5000
Hf3 0.5000 0.0000 0.5000
Hf4 0.5000 0.5000 0.0000
Zr1 0.0000 0.0000 0.5000
Zr2 0.0000 0.5000 0.0000
Zr3 0.2500 0.2500 0.2500
Zr4 0.2500 0.2500 0.7500
Zr5 0.2500 0.7500 0.2500
Zr6 0.2500 0.7500 0.7500
Zr7 0.5000 0.0000 0.0000
Zr8 0.5000 0.5000 0.5000
Zr9 0.7500 0.2500 0.2500
Zr10 0.7500 0.2500 0.7500
Zr11 0.7500 0.7500 0.2500
Zr12 0.7500 0.7500 0.7500

---

No. 4
Structure and computed X-ray powder pattern of Ho2Hg3 (a structure optimized by DFT (PBE); λ = 1.5418 Å (Cu Kα)).

Largest 12 diffraction maxima, most intense first, 2θ from 10° to 90°:
- 2θ = 32.7°, rel. 100.0
- 2θ = 36.4°, rel. 75.9
- 2θ = 49.7°, rel. 31.4
- 2θ = 63.2°, rel. 30.9
- 2θ = 56.0°, rel. 21.9
- 2θ = 80.2°, rel. 15.8
- 2θ = 65.5°, rel. 14.0
- 2θ = 86.5°, rel. 13.6
- 2θ = 68.6°, rel. 12.0
- 2θ = 77.3°, rel. 8.8
- 2θ = 81.0°, rel. 2.5
- 2θ = 21.4°, rel. 1.2

Atomic structure:
abc: 4.9379 4.9379 17.8007
angles: 90.00 90.00 120.00
Positions (direct):
Ho1 0.0000 0.0000 0.0974
Ho2 0.0000 0.0000 0.9026
Ho3 0.3333 0.6667 0.5693
Ho4 0.3333 0.6667 0.7641
Ho5 0.6667 0.3333 0.2359
Ho6 0.6667 0.3333 0.4307
Hg1 0.0000 0.0000 0.3021
Hg2 0.0000 0.0000 0.5000
Hg3 0.0000 0.0000 0.6979
Hg4 0.3333 0.6667 0.1667
Hg5 0.3333 0.6667 0.3645
Hg6 0.3333 0.6667 0.9688
Hg7 0.6667 0.3333 0.0312
Hg8 0.6667 0.3333 0.6355
Hg9 0.6667 0.3333 0.8333